Computed PXRD pattern
Compound: Li7Fe3SbP6O24
Radiation: CuKα
Structure: a cell relaxed with PBE+U
Kinematic intensities with the Lorentz-polarization factor, no thermal factor.

Crystal structure
```
data_Li7Fe3SbP6O24
_chemical_formula_sum 'Li21 Fe9 Sb3 P18 O72'
_symmetry_space_group_name_H-M 'R 3'
_symmetry_Int_Tables_number 146
_symmetry_space_group_name_Hall 'R 3'
_cell_length_a 8.5854
_cell_length_b 8.5854
_cell_length_c 22.8777
_cell_angle_alpha 90.00
_cell_angle_beta 90.00
_cell_angle_gamma 120.00
loop_
_atom_site_label
_atom_site_type_symbol
_atom_site_fract_x
_atom_site_fract_y
_atom_site_fract_z
Li1 Li 0.0000 0.0000 0.0000
Li2 Li 0.0040 0.2819 0.5283
Li3 Li 0.0259 0.6904 0.0233
Fe1 Fe 0.0000 0.0000 0.1219
Fe2 Fe 0.0000 0.0000 0.3191
Fe3 Fe 0.0000 0.0000 0.6356
Sb1 Sb 0.0000 0.0000 0.8248
P1 P 0.0038 0.3135 0.7241
P2 P 0.0095 0.7100 0.2280
O1 O 0.0420 0.8178 0.1719
O2 O 0.0620 0.2077 0.0525
O3 O 0.0786 0.4045 0.4550
O4 O 0.0797 0.2236 0.3695
O5 O 0.0926 0.2258 0.6866
O6 O 0.1662 0.7205 0.5534
O7 O 0.1787 0.7476 0.9434
O8 O 0.1980 0.7462 0.2488
```

Main lines, sorted by position (2θ from 5° to 70°):
hkl	2theta	d/Å	intensity
0 1 2	14.21	6.234	71
1 0 4	19.58	4.533	89
1 1 0	20.69	4.293	34
1 1 3	23.79	3.741	97
0 2 4	28.64	3.117	51
1 1 6	31.38	2.851	100
3 0 0	36.25	2.478	42
4 -2 6	48.68	1.870	31
2 1 10	51.51	1.774	24
4 1 6	62.18	1.493	24



Computed PXRD pattern
Compound: K2Li2NiO4
Radiation: CuKα
Structure: a cell relaxed with PBE+U
Kinematic intensities with the Lorentz-polarization factor, no thermal factor.

Crystal structure
```
data_K2Li2NiO4
_chemical_formula_sum 'K8 Li8 Ni4 O16'
_symmetry_space_group_name_H-M 'P 1 21/c 1'
_symmetry_Int_Tables_number 14
_symmetry_space_group_name_Hall '-P 2ybc'
_cell_length_a 5.5016
_cell_length_b 9.2687
_cell_length_c 11.0821
_cell_angle_alpha 90.00
_cell_angle_beta 112.08
_cell_angle_gamma 90.00
loop_
_atom_site_label
_atom_site_type_symbol
_atom_site_fract_x
_atom_site_fract_y
_atom_site_fract_z
K1 K 0.1724 0.0002 0.3646
K2 K 0.3220 0.2213 0.1561
Li1 Li 0.0964 0.7450 0.6839
Li2 Li 0.1463 0.0122 0.9328
Ni1 Ni 0.3682 0.7135 0.5447
O1 O 0.1982 0.6883 0.3672
O2 O 0.2267 0.5726 0.6169
O3 O 0.2632 0.6215 0.0945
O4 O 0.2792 0.2008 0.9009
```

Main lines, sorted by position (2θ from 5° to 70°):
hkl	2theta	d/Å	intensity
0 2 0	19.15	4.634	79
1 1 -2	21.65	4.106	85
1 2 0	25.97	3.431	100
0 3 1	30.21	2.959	70
2 0 -2	32.83	2.728	44
1 1 -4	34.07	2.632	50
0 0 4	34.95	2.567	97
0 1 4	36.31	2.474	62
1 3 -4	44.13	2.052	43
2 3 -2	44.31	2.044	51